Starting from a crystal structure in the Materials Project, relaxed with PBE, the XRD peak list of Mg2Sn was calculated for Cu Kα.

Largest 6 diffraction maxima, by intensity, 10 to 90 degrees two-theta:
2theta, I (rel.), index
36.06, 1000, 3 1 0
17.07, 560, 2 0 -1
31.52, 415, 1 1 1
34.54, 341, 4 0 -2
47.45, 273, 5 1 -1
11.93, 254, 0 0 1

Structure:
```
data_Mg2Sn
_chemical_formula_sum 'Mg8 Sn4'
_symmetry_space_group_name_H-M 'C 1 m 1'
_symmetry_Int_Tables_number 8
_symmetry_space_group_name_Hall 'C -2y'
_cell_length_a 11.790
_cell_length_b 3.290
_cell_length_c 7.659
_cell_angle_alpha 90.00
_cell_angle_beta 104.45
_cell_angle_gamma 90.00
loop_
_atom_site_label
_atom_site_type_symbol
_atom_site_fract_x
_atom_site_fract_y
_atom_site_fract_z
Mg1 Mg 0.000 0.000 0.000
Mg2 Mg 0.056 0.000 0.612
Mg3 Mg 0.168 0.500 0.334
Mg4 Mg 0.334 0.000 0.668
Sn1 Sn 0.220 0.500 0.940
Sn2 Sn 0.393 0.000 0.285
```

---

Starting from a crystal structure in the Materials Project, relaxed with PBE, the XRD peak list of BaCuSe4O12 was calculated for Cu Kα.

Largest 6 diffraction maxima, by intensity, 10 to 90 degrees two-theta:
2theta, I (rel.), index
33.14, 1000, 1 1 2
20.07, 712, 1 0 1
32.88, 520, 2 0 0
47.18, 439, 2 2 0
58.87, 397, 3 1 2
38.82, 255, 2 1 1

Structure:
```
data_BaCuSe4O12
_chemical_formula_sum 'Ba1 Cu1 Se4 O12'
_symmetry_space_group_name_H-M 'P 4/m m m'
_symmetry_Int_Tables_number 123
_symmetry_space_group_name_Hall '-P 4 2'
_cell_length_a 5.448
_cell_length_b 5.448
_cell_length_c 7.586
_cell_angle_alpha 90.00
_cell_angle_beta 90.00
_cell_angle_gamma 90.00
loop_
_atom_site_label
_atom_site_type_symbol
_atom_site_fract_x
_atom_site_fract_y
_atom_site_fract_z
Ba1 Ba 0.000 0.000 0.000
Cu1 Cu 0.500 0.500 0.500
Se1 Se 0.000 0.500 0.259
O1 O 0.000 0.500 0.000
O2 O 0.000 0.500 0.500
O3 O 0.261 0.261 0.266
```

---

Starting from a crystal structure in the Materials Project, relaxed with PBE, the XRD peak list of ScGaO3 was calculated for Cu Kα.

Largest 6 diffraction maxima, by intensity, 10 to 90 degrees two-theta:
2theta, I (rel.), index
33.89, 1000, 1 2 1
62.65, 249, 1 2 3
49.41, 240, 2 0 2
33.28, 209, 2 0 0
35.45, 182, 0 0 2
24.13, 166, 1 0 1

Structure:
```
data_ScGaO3
_chemical_formula_sum 'Sc4 Ga4 O12'
_symmetry_space_group_name_H-M 'P n m a'
_symmetry_Int_Tables_number 62
_symmetry_space_group_name_Hall '-P 2ac 2n'
_cell_length_a 5.384
_cell_length_b 7.590
_cell_length_c 5.065
_cell_angle_alpha 90.00
_cell_angle_beta 90.00
_cell_angle_gamma 90.00
loop_
_atom_site_label
_atom_site_type_symbol
_atom_site_fract_x
_atom_site_fract_y
_atom_site_fract_z
Sc1 Sc 0.070 0.250 0.024
Ga1 Ga 0.000 0.000 0.500
O1 O 0.062 0.750 0.359
O2 O 0.189 0.572 0.814
```

---

Starting from a crystal structure in the Materials Project, relaxed with PBE, the XRD peak list of CaNdNb2O7 was calculated for Cu Kα.

Largest 6 diffraction maxima, by intensity, 10 to 90 degrees two-theta:
2theta, I (rel.), index
28.97, 1000, 0 2 2
29.24, 989, 2 0 2
48.45, 640, 2 2 4
33.73, 564, 2 2 0
57.30, 284, 2 4 2
57.76, 273, 4 2 2

Structure:
```
data_CaNdNb2O7
_chemical_formula_sum 'Ca4 Nd4 Nb8 O28'
_symmetry_space_group_name_H-M 'I m m a'
_symmetry_Int_Tables_number 74
_symmetry_space_group_name_Hall '-I 2b 2'
_cell_length_a 7.464
_cell_length_b 7.564
_cell_length_c 10.633
_cell_angle_alpha 90.00
_cell_angle_beta 90.00
_cell_angle_gamma 90.00
loop_
_atom_site_label
_atom_site_type_symbol
_atom_site_fract_x
_atom_site_fract_y
_atom_site_fract_z
Ca1 Ca 0.250 0.250 0.250
Nd1 Nd 0.000 0.000 0.000
Nb1 Nb 0.000 0.000 0.500
Nb2 Nb 0.250 0.250 0.750
O1 O 0.000 0.250 0.126
O2 O 0.000 0.250 0.431
O3 O 0.000 0.250 0.830
O4 O 0.201 0.052 0.624
```

---

Starting from a crystal structure in the Materials Project, relaxed with PBE, the XRD peak list of Ti13Al9Co8 was calculated for Cu Kα.

Largest 6 diffraction maxima, by intensity, 10 to 90 degrees two-theta:
2theta, I (rel.), index
42.65, 1000, 2 0 8
42.81, 926, 2 2 0
39.13, 542, 3 0 3
50.62, 275, 0 4 2
25.81, 263, 2 0 2
62.02, 182, 0 4 8

Structure:
```
data_Ti13Al9Co8
_chemical_formula_sum 'Ti39 Al27 Co24'
_symmetry_space_group_name_H-M 'R 3 m'
_symmetry_Int_Tables_number 160
_symmetry_space_group_name_Hall 'R 3 -2"'
_cell_length_a 8.4495
_cell_length_b 8.4495
_cell_length_c 20.8112
_cell_angle_alpha 90.00
_cell_angle_beta 90.00
_cell_angle_gamma 120.00
loop_
_atom_site_label
_atom_site_type_symbol
_atom_site_fract_x
_atom_site_fract_y
_atom_site_fract_z
Ti1 Ti 0.0000 0.0000 0.0000
Ti2 Ti 0.0595 0.5298 0.3547
Ti3 Ti 0.0898 0.5449 0.0067
Ti4 Ti 0.1733 0.3467 0.8270
Ti5 Ti 0.2041 0.4082 0.2161
Al1 Al 0.0000 0.0000 0.2386
Al2 Al 0.0000 0.0000 0.4506
Al3 Al 0.0000 0.0000 0.7787
Al4 Al 0.0179 0.5090 0.7477
Al5 Al 0.2147 0.4294 0.5668
Co1 Co 0.0000 0.0000 0.1209
Co2 Co 0.0000 0.0000 0.6232
Co3 Co 0.0018 0.5009 0.6203
Co4 Co 0.1689 0.3378 0.4542
```